# 1
This entry pairs a crystal structure of Ac3SmAl2O9 with its simulated PXRD pattern. Radiation: Cu Kα (weighted mean of Kα1 and Kα2). Structure: a crystal structure in Alexandria, relaxed with PBE.
Neutral-atom scattering factors, no anomalous dispersion.

Structure:
```
data_Ac3SmAl2O9
_cell_length_a 5.6721
_cell_length_b 5.6721
_cell_length_c 7.3686
_cell_angle_alpha 90.00
_cell_angle_beta 90.00
_cell_angle_gamma 120.00
_space_group_name_H-M_alt 'P 1'
_space_group_IT_number 1
loop_
_space_group_symop_operation_xyz
'x,y,z'
loop_
_atom_site_label
_atom_site_fract_x
_atom_site_fract_y
_atom_site_fract_z
Ac1 0.0000 0.0000 0.0000
Ac2 0.3333 0.6667 0.7186
Ac3 0.6667 0.3333 0.2814
Sm1 0.0000 0.0000 0.5000
Al1 0.3333 0.6667 0.1656
Al2 0.6667 0.3333 0.8344
O1 0.0000 0.5000 0.0000
O2 0.1739 0.3478 0.2989
O3 0.1739 0.8261 0.2989
O4 0.3478 0.1739 0.7011
O5 0.5000 0.0000 0.0000
O6 0.5000 0.5000 0.0000
O7 0.6522 0.8261 0.2989
O8 0.8261 0.1739 0.7011
O9 0.8261 0.6522 0.7011
```

Principal peaks in the range 2θ = 10–90°, sorted by position:
2θ = 21.74°, d = 4.087 Å, I 62
2θ = 30.33°, d = 2.947 Å, I 100
2θ = 31.55°, d = 2.836 Å, I 88
2θ = 38.64°, d = 2.330 Å, I 31
2θ = 41.09°, d = 2.197 Å, I 12
2θ = 44.32°, d = 2.044 Å, I 53
2θ = 50.71°, d = 1.800 Å, I 15
2θ = 55.42°, d = 1.658 Å, I 37
2θ = 56.17°, d = 1.637 Å, I 18
2θ = 59.87°, d = 1.545 Å, I 18
2θ = 65.87°, d = 1.418 Å, I 16
2θ = 74.21°, d = 1.278 Å, I 17

=====

# 2
This entry pairs a crystal structure of NaPuP2O8 with its simulated PXRD pattern. Radiation: Cu Kα (weighted mean of Kα1 and Kα2). Structure: a crystal structure in Alexandria, relaxed with PBE.
Neutral-atom scattering factors, no anomalous dispersion.

Structure:
```
data_NaPuP2O8
_cell_length_a 5.1394
_cell_length_b 5.1394
_cell_length_c 7.7495
_cell_angle_alpha 92.79
_cell_angle_beta 92.79
_cell_angle_gamma 65.67
_space_group_name_H-M_alt 'P 1'
_space_group_IT_number 1
loop_
_space_group_symop_operation_xyz
'x,y,z'
loop_
_atom_site_label
_atom_site_fract_x
_atom_site_fract_y
_atom_site_fract_z
Na1 0.0000 0.0000 0.0000
Pu1 0.0000 0.0000 0.5000
P1 0.3410 0.3410 0.2740
P2 0.6590 0.6590 0.7260
O1 0.2213 0.6752 0.3025
O2 0.2335 0.2335 0.4336
O3 0.2532 0.2532 0.1030
O4 0.3248 0.7787 0.6975
O5 0.6752 0.2213 0.3025
O6 0.7468 0.7468 0.8970
O7 0.7665 0.7665 0.5664
O8 0.7787 0.3248 0.6975
```

Principal peaks in the range 2θ = 10–90°, sorted by position:
2θ = 11.44°, d = 7.737 Å, I 100
2θ = 18.96°, d = 4.681 Å, I 50
2θ = 20.60°, d = 4.311 Å, I 21
2θ = 22.51°, d = 3.950 Å, I 65
2θ = 23.02°, d = 3.863 Å, I 45
2θ = 29.49°, d = 3.029 Å, I 32
2θ = 30.44°, d = 2.937 Å, I 33
2θ = 32.12°, d = 2.787 Å, I 16
2θ = 35.13°, d = 2.554 Å, I 22
2θ = 36.47°, d = 2.464 Å, I 11
2θ = 39.88°, d = 2.261 Å, I 20
2θ = 47.03°, d = 1.932 Å, I 11